1.
The following is a theoretical PXRD pattern of BaLi4Ga. It was derived from a crystal structure in Alexandria, relaxed with PBE, using Cu Kα.

Peak list (10 most intense, 2θ = 10–90°, sorted by position)
2θ = 10.66°, 8.300 Å, I 50; 2θ = 19.35°, 4.588 Å, I 100; 2θ = 21.64°, 4.106 Å, I 81; 2θ = 24.03°, 3.704 Å, I 88; 2θ = 29.19°, 3.060 Å, I 78; 2θ = 31.03°, 2.882 Å, I 97; 2θ = 34.20°, 2.622 Å, I 37; 2θ = 39.59°, 2.276 Å, I 43; 2θ = 44.29°, 2.045 Å, I 34; 2θ = 46.59°, 1.950 Å, I 36

Structural model:
```
BaLi4Ga
1.0
8.212 0.000 0.000
0.000 4.588 0.000
0.000 0.000 8.300
Ba Li Ga
2 8 2
direct
0.250 0.000 0.107 Ba
0.750 0.000 0.893 Ba
0.000 0.000 0.500 Li
0.077 0.500 0.771 Li
0.250 0.500 0.484 Li
0.423 0.500 0.771 Li
0.500 0.000 0.500 Li
0.577 0.500 0.229 Li
0.750 0.500 0.516 Li
0.923 0.500 0.229 Li
0.250 0.000 0.703 Ga
0.750 0.000 0.297 Ga
```


2.
The following is a theoretical PXRD pattern of ZnHgS2. It was derived from a crystal structure in Alexandria, relaxed with PBE, using Cu Kα.

Peak list (10 most intense, 2θ = 10–90°, sorted by position)
2θ = 14.68°, 6.033 Å, I 53; 2θ = 18.09°, 4.905 Å, I 39; 2θ = 24.41°, 3.647 Å, I 94; 2θ = 27.19°, 3.280 Å, I 49; 2θ = 27.61°, 3.231 Å, I 39; 2θ = 29.22°, 3.057 Å, I 100; 2θ = 29.32°, 3.046 Å, I 61; 2θ = 32.34°, 2.768 Å, I 64; 2θ = 43.57°, 2.077 Å, I 33; 2θ = 48.99°, 1.859 Å, I 69

Structural model:
```
ZnHgS2
1.0
6.627 0.000 0.000
0.000 3.908 0.000
0.000 0.000 14.588
Zn Hg S
4 4 8
direct
0.199 0.250 0.160 Zn
0.301 0.750 0.660 Zn
0.699 0.250 0.340 Zn
0.801 0.750 0.840 Zn
0.141 0.750 0.377 Hg
0.359 0.250 0.877 Hg
0.641 0.750 0.123 Hg
0.859 0.250 0.623 Hg
0.157 0.750 0.811 S
0.214 0.250 0.578 S
0.286 0.750 0.078 S
0.343 0.250 0.311 S
0.657 0.750 0.689 S
0.714 0.250 0.922 S
0.786 0.750 0.422 S
0.843 0.250 0.189 S
```


3.
The following is a theoretical PXRD pattern of Ac5ScSn5. It was derived from a crystal structure in Alexandria, relaxed with PBE, using Cu Kα.

Peak list (10 most intense, 2θ = 10–90°, sorted by position)
2θ = 27.08°, 3.293 Å, I 62; 2θ = 27.44°, 3.251 Å, I 50; 2θ = 27.79°, 3.210 Å, I 100; 2θ = 28.55°, 3.126 Å, I 33; 2θ = 29.57°, 3.021 Å, I 47; 2θ = 29.97°, 2.982 Å, I 49; 2θ = 33.20°, 2.699 Å, I 40; 2θ = 39.45°, 2.284 Å, I 39; 2θ = 41.02°, 2.200 Å, I 40; 2θ = 43.83°, 2.066 Å, I 38

Structural model:
```
Ac5ScSn5
1.0
8.489 -3.210 0.000
8.489 3.210 0.000
-2.318 0.000 7.349
Ac Sc Sn
5 1 5
direct
0.000 0.000 0.000 Ac
0.310 0.310 0.221 Ac
0.358 0.358 0.738 Ac
0.642 0.642 0.262 Ac
0.690 0.690 0.779 Ac
0.000 0.000 0.500 Sc
0.158 0.158 0.831 Sn
0.159 0.159 0.427 Sn
0.500 0.500 0.500 Sn
0.841 0.841 0.573 Sn
0.842 0.842 0.169 Sn
```


4.
The following is a theoretical PXRD pattern of Mg2AsH. It was derived from a crystal structure in Alexandria, relaxed with PBE, using Cu Kα.

Peak list (10 most intense, 2θ = 10–90°, sorted by position)
2θ = 10.17°, 8.699 Å, I 76; 2θ = 21.38°, 4.156 Å, I 100; 2θ = 24.27°, 3.667 Å, I 33; 2θ = 30.17°, 2.962 Å, I 66; 2θ = 34.35°, 2.611 Å, I 19; 2θ = 38.04°, 2.365 Å, I 27; 2θ = 41.66°, 2.168 Å, I 35; 2θ = 44.06°, 2.055 Å, I 31; 2θ = 47.12°, 1.929 Å, I 18; 2θ = 56.36°, 1.633 Å, I 20

Structural model:
```
Mg2AsH
1.0
4.071 0.000 0.000
0.000 8.699 0.000
-3.526 0.000 4.731
Mg As H
4 2 2
direct
0.000 0.035 0.000 Mg
0.000 0.965 0.500 Mg
0.973 0.369 0.471 Mg
0.973 0.631 0.971 Mg
0.499 0.170 0.501 As
0.499 0.830 0.001 As
0.933 0.484 0.187 H
0.933 0.516 0.687 H
```


5.
The following is a theoretical PXRD pattern of CsLaHRhS. It was derived from a crystal structure in Alexandria, relaxed with PBE, using Cu Kα.

Peak list (10 most intense, 2θ = 10–90°, sorted by position)
2θ = 10.80°, 8.192 Å, I 100; 2θ = 21.70°, 4.096 Å, I 53; 2θ = 24.34°, 3.657 Å, I 63; 2θ = 27.45°, 3.250 Å, I 52; 2θ = 30.10°, 2.969 Å, I 61; 2θ = 31.54°, 2.836 Å, I 57; 2θ = 34.07°, 2.631 Å, I 94; 2θ = 42.65°, 2.120 Å, I 80; 2θ = 42.91°, 2.108 Å, I 32; 2θ = 49.33°, 1.847 Å, I 30

Structural model:
```
CsLaHRhS
1.0
3.720 -2.108 0.000
3.720 2.108 0.000
-1.256 0.000 8.192
Cs La H Rh S
1 1 1 1 1
direct
0.000 0.000 0.000 Cs
0.902 0.902 0.483 La
0.354 0.354 0.276 H
0.609 0.609 0.655 Rh
0.280 0.280 0.705 S
```


6.
The following is a theoretical PXRD pattern of Pr4Er2Sc. It was derived from a crystal structure in Alexandria, relaxed with PBE, using Cu Kα.

Peak list (10 most intense, 2θ = 10–90°, sorted by position)
2θ = 16.81°, 5.273 Å, I 14; 2θ = 26.79°, 3.328 Å, I 13; 2θ = 26.99°, 3.304 Å, I 11; 2θ = 31.63°, 2.829 Å, I 100; 2θ = 31.97°, 2.799 Å, I 23; 2θ = 33.38°, 2.685 Å, I 16; 2θ = 34.00°, 2.636 Å, I 27; 2θ = 48.39°, 1.881 Å, I 11; 2θ = 56.33°, 1.633 Å, I 10; 2θ = 59.37°, 1.557 Å, I 16

Structural model:
```
Pr4Er2Sc
1.0
4.290 -5.369 0.000
4.290 5.369 0.000
0.000 0.000 5.273
Pr Er Sc
4 2 1
direct
0.000 0.500 0.500 Pr
0.200 0.200 0.000 Pr
0.500 0.000 0.500 Pr
0.800 0.800 0.000 Pr
0.300 0.700 0.000 Er
0.700 0.300 0.000 Er
0.500 0.500 0.500 Sc
```


7.
The following is a theoretical PXRD pattern of K2Sm2NpSe6. It was derived from a crystal structure in Alexandria, relaxed with PBE, using Cu Kα.

Peak list (10 most intense, 2θ = 10–90°, sorted by position)
2θ = 11.29°, 7.835 Å, I 100; 2θ = 24.61°, 3.618 Å, I 16; 2θ = 28.58°, 3.124 Å, I 38; 2θ = 28.75°, 3.105 Å, I 76; 2θ = 36.34°, 2.472 Å, I 21; 2θ = 39.26°, 2.295 Å, I 26; 2θ = 39.35°, 2.290 Å, I 13; 2θ = 42.65°, 2.120 Å, I 27; 2θ = 42.81°, 2.112 Å, I 13; 2θ = 52.28°, 1.750 Å, I 14

Structural model:
```
K2Sm2NpSe6
1.0
3.676 -6.337 0.000
3.676 6.337 0.000
-2.490 0.000 7.835
K Sm Np Se
2 2 1 6
direct
0.169 0.831 0.000 K
0.831 0.169 0.000 K
0.334 0.666 0.500 Sm
0.666 0.334 0.500 Sm
0.000 0.000 0.500 Np
0.068 0.392 0.702 Se
0.253 0.253 0.298 Se
0.392 0.068 0.702 Se
0.608 0.932 0.298 Se
0.747 0.747 0.702 Se
0.932 0.608 0.298 Se
```


8.
The following is a theoretical PXRD pattern of CeSm5Sn5. It was derived from a crystal structure in Alexandria, relaxed with PBE, using Cu Kα.

Peak list (10 most intense, 2θ = 10–90°, sorted by position)
2θ = 28.35°, 3.148 Å, I 100; 2θ = 39.71°, 2.270 Å, I 14; 2θ = 40.53°, 2.226 Å, I 52; 2θ = 41.33°, 2.184 Å, I 12; 2θ = 49.51°, 1.841 Å, I 15; 2θ = 50.88°, 1.795 Å, I 13; 2θ = 58.64°, 1.574 Å, I 9; 2θ = 66.40°, 1.408 Å, I 18; 2θ = 72.62°, 1.302 Å, I 9; 2θ = 74.82°, 1.269 Å, I 9

Structural model:
```
CeSm5Sn5
1.0
7.150 -3.148 0.000
7.150 3.148 0.000
-2.662 0.000 8.322
Ce Sm Sn
1 5 5
direct
0.000 0.000 0.000 Ce
0.000 0.000 0.500 Sm
0.331 0.331 0.164 Sm
0.331 0.331 0.667 Sm
0.669 0.669 0.333 Sm
0.669 0.669 0.836 Sm
0.162 0.162 0.829 Sn
0.164 0.164 0.333 Sn
0.500 0.500 0.000 Sn
0.836 0.836 0.667 Sn
0.838 0.838 0.171 Sn
```


9.
The following is a theoretical PXRD pattern of Ce2PIr. It was derived from a crystal structure in Alexandria, relaxed with PBE, using Cu Kα.

Peak list (10 most intense, 2θ = 10–90°, sorted by position)
2θ = 17.14°, 5.172 Å, I 43; 2θ = 30.89°, 2.895 Å, I 100; 2θ = 31.09°, 2.877 Å, I 49; 2θ = 44.24°, 2.047 Å, I 37; 2θ = 44.39°, 2.041 Å, I 73; 2θ = 55.06°, 1.668 Å, I 39; 2θ = 73.09°, 1.295 Å, I 17; 2θ = 73.19°, 1.293 Å, I 17; 2θ = 73.52°, 1.288 Å, I 16; 2θ = 81.53°, 1.181 Å, I 25

Structural model:
```
Ce2PIr
1.0
-2.895 2.895 5.754
2.895 -2.895 5.754
2.895 2.895 -5.754
Ce P Ir
4 2 2
direct
0.121 0.371 0.750 Ce
0.371 0.121 0.250 Ce
0.629 0.879 0.750 Ce
0.879 0.629 0.250 Ce
0.375 0.625 0.750 P
0.625 0.375 0.250 P
0.125 0.875 0.250 Ir
0.875 0.125 0.750 Ir
```


10.
The following is a theoretical PXRD pattern of VBiC. It was derived from a crystal structure in Alexandria, relaxed with PBE, using Cu Kα.

Peak list (10 most intense, 2θ = 10–90°, sorted by position)
2θ = 22.98°, 3.870 Å, I 58; 2θ = 30.81°, 2.903 Å, I 21; 2θ = 31.00°, 2.885 Å, I 100; 2θ = 33.83°, 2.650 Å, I 53; 2θ = 42.95°, 2.106 Å, I 40; 2θ = 43.54°, 2.079 Å, I 37; 2θ = 49.26°, 1.850 Å, I 32; 2θ = 49.80°, 1.831 Å, I 24; 2θ = 53.78°, 1.704 Å, I 18; 2θ = 71.27°, 1.323 Å, I 19

Structural model:
```
VBiC
1.0
11.610 0.000 0.000
0.000 2.106 2.106
0.000 -2.106 2.106
V Bi C
2 2 2
direct
0.083 0.250 0.750 V
0.917 0.750 0.250 V
0.343 0.246 0.746 Bi
0.657 0.746 0.246 Bi
0.090 0.750 0.250 C
0.910 0.250 0.750 C
```


11.
The following is a theoretical PXRD pattern of La2NbAs4Rh3. It was derived from a crystal structure in Alexandria, relaxed with PBE, using Cu Kα.

Peak list (10 most intense, 2θ = 10–90°, sorted by position)
2θ = 28.96°, 3.084 Å, I 15; 2θ = 33.21°, 2.698 Å, I 69; 2θ = 33.88°, 2.646 Å, I 100; 2θ = 41.41°, 2.180 Å, I 72; 2θ = 45.91°, 1.977 Å, I 23; 2θ = 48.89°, 1.863 Å, I 21; 2θ = 54.08°, 1.696 Å, I 34; 2θ = 60.00°, 1.542 Å, I 24; 2θ = 65.95°, 1.416 Å, I 17; 2θ = 70.72°, 1.332 Å, I 23

Structural model:
```
La2NbAs4Rh3
1.0
4.361 0.000 0.000
0.000 4.361 0.000
0.000 0.000 10.303
La Nb As Rh
2 1 4 3
direct
0.000 0.500 0.232 La
0.500 0.000 0.768 La
0.000 0.000 0.500 Nb
0.000 0.000 0.000 As
0.000 0.500 0.639 As
0.500 0.000 0.361 As
0.500 0.500 0.000 As
0.000 0.500 0.883 Rh
0.500 0.000 0.117 Rh
0.500 0.500 0.500 Rh
```


12.
The following is a theoretical PXRD pattern of Ag4Pt7. It was derived from a crystal structure in Alexandria, relaxed with PBE, using Cu Kα.

Peak list (10 most intense, 2θ = 10–90°, sorted by position)
2θ = 38.43°, 2.342 Å, I 52; 2θ = 38.57°, 2.334 Å, I 51; 2θ = 39.04°, 2.307 Å, I 100; 2θ = 43.93°, 2.061 Å, I 34; 2θ = 45.64°, 1.988 Å, I 64; 2θ = 65.11°, 1.433 Å, I 21; 2θ = 65.30°, 1.429 Å, I 21; 2θ = 79.15°, 1.210 Å, I 13; 2θ = 79.33°, 1.208 Å, I 12; 2θ = 80.27°, 1.196 Å, I 25

Structural model:
```
Ag4Pt7
1.0
6.339 -1.392 0.000
6.339 1.392 0.000
-6.159 0.000 10.154
Ag Pt
4 7
direct
0.000 0.000 0.000 Ag
0.180 0.180 0.267 Ag
0.538 0.538 0.816 Ag
0.908 0.908 0.364 Ag
0.081 0.081 0.631 Pt
0.271 0.271 0.907 Pt
0.360 0.360 0.548 Pt
0.452 0.452 0.183 Pt
0.637 0.637 0.451 Pt
0.731 0.731 0.084 Pt
0.802 0.802 0.722 Pt
```


13.
The following is a theoretical PXRD pattern of CsRbHgF4. It was derived from a crystal structure in Alexandria, relaxed with PBE, using Cu Kα.

Peak list (10 most intense, 2θ = 10–90°, sorted by position)
2θ = 12.36°, 7.163 Å, I 37; 2θ = 26.60°, 3.351 Å, I 100; 2θ = 26.81°, 3.326 Å, I 68; 2θ = 36.73°, 2.447 Å, I 24; 2θ = 37.67°, 2.388 Å, I 13; 2θ = 38.27°, 2.352 Å, I 37; 2θ = 46.84°, 1.940 Å, I 19; 2θ = 47.22°, 1.925 Å, I 43; 2θ = 54.09°, 1.696 Å, I 16; 2θ = 54.79°, 1.675 Å, I 17

Structural model:
```
CsRbHgF4
1.0
-2.352 2.352 7.163
2.352 -2.352 7.163
2.352 2.352 -7.163
Cs Rb Hg F
1 1 1 4
direct
0.000 0.000 0.000 Cs
0.715 0.715 0.000 Rb
0.356 0.356 0.000 Hg
0.198 0.198 0.000 F
0.350 0.850 0.500 F
0.516 0.516 0.000 F
0.850 0.350 0.500 F
```